For BaCl2O, a cell relaxed with GGA-PBE gives the theoretical powder X-ray diffraction pattern in this record (copper Kα).
Lines closer than 0.1° are merged.

Structural model:
abc: 10.5934 5.2060 8.5536
angles: 90.00 90.00 90.00
Atoms (fractional coordinates):
Ba: 0.1893 0.2500 0.1175
Ba: 0.3107 0.7500 0.6175
Ba: 0.6893 0.2500 0.3825
Ba: 0.8107 0.7500 0.8825
Cl: 0.1149 0.7500 0.9016
Cl: 0.1188 0.7500 0.3309
Cl: 0.3812 0.2500 0.8309
Cl: 0.3851 0.2500 0.4016
Cl: 0.6149 0.7500 0.5984
Cl: 0.6188 0.7500 0.1691
Cl: 0.8812 0.2500 0.6691
Cl: 0.8851 0.2500 0.0984
O: 0.2237 0.2500 0.6233
O: 0.2763 0.7500 0.1233
O: 0.7237 0.2500 0.8767
O: 0.7763 0.7500 0.3767

Main lines, sorted by position (15° ≤ 2θ ≤ 90°):
2θ 16.74, rel. 75, (2 0 0)
2θ 19.71, rel. 44, (2 0 1)
2θ 19.97, rel. 38, (0 1 1)
2θ 21.67, rel. 72, (1 1 1)
2θ 22.42, rel. 61, (1 0 2)
2θ 28.29, rel. 79, (1 1 2)
2θ 32.89, rel. 39, (3 0 2)
2θ 34.45, rel. 56, (0 2 0)
2θ 37.27, rel. 100, (3 1 2)
2θ 38.12, rel. 42, (4 1 0)